Computed powder X-ray diffraction pattern of TiCrAs for Cu Kα X-rays, from the PBE geometry in the Materials Project.
Intensities are scaled so that the largest is 100.

Cell and atoms:
```
data_TiCrAs
_space_group_name_H-M_alt 'P -6 2 m'
_space_group_IT_number 189
_space_group_name_Hall 'P -6 -2'
_cell_length_a 6.6250
_cell_length_b 6.6250
_cell_length_c 3.3318
_cell_angle_alpha 90.00
_cell_angle_beta 90.00
_cell_angle_gamma 120.00
loop_
_atom_site_label
_atom_site_type_symbol
_atom_site_fract_x
_atom_site_fract_y
_atom_site_fract_z
_atom_site_occupancy
Ti1 Ti 0.0000 0.4048 0.0000 1
Cr1 Cr 0.0000 0.7426 0.5000 1
As1 As 0.0000 0.0000 0.0000 1
As2 As 0.3333 0.6667 0.5000 1
```

The 10 most intense peaks (2θ = 15–90°), by angle:
- 26.92°, intensity 24, hkl 1 1 0
- 31.04°, intensity 15, hkl 1 0 1
- 38.32°, intensity 76, hkl 1 1 1
- 41.54°, intensity 100, hkl 2 0 1
- 41.65°, intensity 36, hkl 2 1 0
- 47.54°, intensity 54, hkl 3 0 0
- 50.20°, intensity 52, hkl 2 1 1
- 55.13°, intensity 23, hkl 0 0 2
- 75.72°, intensity 25, hkl 3 0 2
- 78.06°, intensity 32, hkl 3 2 1

Computed powder X-ray diffraction pattern of Ho4C7 for Cu Kα X-rays, from the PBE geometry in the Materials Project.
Intensities are scaled so that the largest is 100.

Cell and atoms:
```
data_Ho4C7
_space_group_name_H-M_alt 'P 1 21/c 1'
_space_group_IT_number 14
_space_group_name_Hall '-P 2ybc'
_cell_length_a 3.6884
_cell_length_b 12.5369
_cell_length_c 13.7567
_cell_angle_alpha 90.00
_cell_angle_beta 98.72
_cell_angle_gamma 90.00
loop_
_atom_site_label
_atom_site_type_symbol
_atom_site_fract_x
_atom_site_fract_y
_atom_site_fract_z
_atom_site_occupancy
Ho1 Ho 0.1233 0.0397 0.3822 1
Ho2 Ho 0.1331 0.1949 0.7896 1
Ho3 Ho 0.2635 0.7373 0.4934 1
Ho4 Ho 0.3006 0.0155 0.1074 1
C1 C 0.1652 0.6407 0.3257 1
C2 C 0.2073 0.1167 0.9497 1
C3 C 0.2441 0.1100 0.5476 1
C4 C 0.3028 0.6515 0.2436 1
C5 C 0.3753 0.6716 0.1521 1
C6 C 0.4093 0.5827 0.7707 1
C7 C 0.4144 0.1039 0.6396 1
```

The 10 most intense peaks (2θ = 15–90°), by angle:
- 27.20°, intensity 25, hkl 1 1 1
- 28.48°, intensity 22, hkl 0 4 0
- 29.24°, intensity 19, hkl 0 4 1
- 29.90°, intensity 100, hkl 0 2 4
- 30.37°, intensity 26, hkl 1 1 2
- 32.59°, intensity 12, hkl 1 3 0
- 33.76°, intensity 23, hkl 1 3 -2
- 34.01°, intensity 47, hkl 1 3 1
- 36.25°, intensity 16, hkl 1 3 -3
- 62.10°, intensity 19, hkl 2 2 -6

Computed powder X-ray diffraction pattern of Cs2SbCl6 for Cu Kα X-rays, from the PBE geometry in the Materials Project.
Intensities are scaled so that the largest is 100.

Cell and atoms:
```
data_Cs2SbCl6
_space_group_name_H-M_alt 'I 41/a m d'
_space_group_IT_number 141
_cell_length_a 10.7434
_cell_length_b 10.7434
_cell_length_c 21.6256
_cell_angle_alpha 90.00
_cell_angle_beta 90.00
_cell_angle_gamma 90.00
loop_
_space_group_symop_operation_xyz
'x,y,z'
'-x,-y,-z'
'-y+1/4,x+3/4,z+1/4'
'y+1/4,-x+3/4,-z+1/4'
'-x+1/2,-y,z+1/2'
'x+1/2,y,-z+1/2'
'y+1/4,-x+1/4,z+3/4'
'-y+1/4,x+1/4,-z+3/4'
'x,-y,-z'
'-x,y,z'
'-y+1/4,-x+1/4,-z+3/4'
'y+1/4,x+1/4,z+3/4'
'-x+1/2,y,-z+1/2'
'x+1/2,-y,z+1/2'
'y+1/4,x+3/4,-z+1/4'
'-y+1/4,-x+3/4,z+1/4'
'x+1/2,y+1/2,z+1/2'
'-x+1/2,-y+1/2,-z+1/2'
'-y+3/4,x+1/4,z+3/4'
'y+3/4,-x+1/4,-z+3/4'
'-x,-y+1/2,z'
'x,y+1/2,-z'
'y+3/4,-x+3/4,z+1/4'
'-y+3/4,x+3/4,-z+1/4'
'x+1/2,-y+1/2,-z+1/2'
'-x+1/2,y+1/2,z+1/2'
'-y+3/4,-x+3/4,-z+1/4'
'y+3/4,x+3/4,z+1/4'
'-x,y+1/2,-z'
'x,-y+1/2,z'
'y+3/4,x+1/4,-z+3/4'
'-y+3/4,-x+1/4,z+3/4'
loop_
_atom_site_label
_atom_site_type_symbol
_atom_site_fract_x
_atom_site_fract_y
_atom_site_fract_z
_atom_site_occupancy
Cs1 Cs 0.2246 0.0000 0.0000 1
Sb1 Sb 0.0000 0.2500 0.3750 1
Sb2 Sb 0.0000 0.2500 0.8750 1
Cl1 Cl 0.0000 0.0029 0.8700 1
Cl2 Cl 0.0000 0.0225 0.3759 1
Cl3 Cl 0.0000 0.2500 0.2621 1
Cl4 Cl 0.0000 0.2500 0.7522 1
```

The 10 most intense peaks (2θ = 15–90°), by angle:
- 23.37°, intensity 100, hkl 2 0 4
- 27.52°, intensity 13, hkl 3 1 2
- 28.72°, intensity 52, hkl 2 2 4
- 33.14°, intensity 26, hkl 0 0 8
- 33.36°, intensity 47, hkl 4 0 0
- 40.98°, intensity 15, hkl 2 2 8
- 41.12°, intensity 25, hkl 4 2 4
- 47.73°, intensity 31, hkl 4 0 8
- 47.90°, intensity 14, hkl 4 4 0
- 59.48°, intensity 14, hkl 4 4 8

Computed powder X-ray diffraction pattern of K3Y for Cu Kα X-rays, from the PBE geometry in the Materials Project.
Intensities are scaled so that the largest is 100.

Cell and atoms:
```
data_K3Y
_space_group_name_H-M_alt 'I 4/m m m'
_space_group_IT_number 139
_space_group_name_Hall '-I 4 2'
_cell_length_a 5.9111
_cell_length_b 5.9111
_cell_length_c 12.9234
_cell_angle_alpha 90.00
_cell_angle_beta 90.00
_cell_angle_gamma 90.00
loop_
_atom_site_label
_atom_site_type_symbol
_atom_site_fract_x
_atom_site_fract_y
_atom_site_fract_z
_atom_site_occupancy
K1 K 0.0000 0.0000 0.0000 1
K2 K 0.0000 0.5000 0.2500 1
Y1 Y 0.0000 0.0000 0.5000 1
```

The 10 most intense peaks (2θ = 15–90°), by angle:
- 16.49°, intensity 14, hkl 1 0 1
- 25.38°, intensity 100, hkl 1 1 2
- 27.61°, intensity 20, hkl 0 0 4
- 30.24°, intensity 31, hkl 2 0 0
- 41.40°, intensity 25, hkl 2 0 4
- 43.29°, intensity 11, hkl 2 2 0
- 47.49°, intensity 16, hkl 1 1 6
- 50.85°, intensity 26, hkl 3 1 2
- 52.12°, intensity 12, hkl 2 2 4
- 66.20°, intensity 11, hkl 3 1 6

Computed powder X-ray diffraction pattern of RbTaO3 for Cu Kα X-rays, from the PBE geometry in the Materials Project.
Intensities are scaled so that the largest is 100.

Cell and atoms:
```
data_RbTaO3
_space_group_name_H-M_alt 'R 3 m'
_space_group_IT_number 160
_space_group_name_Hall 'R 3 -2"'
_cell_length_a 5.7819
_cell_length_b 5.7819
_cell_length_c 7.0975
_cell_angle_alpha 90.00
_cell_angle_beta 90.00
_cell_angle_gamma 120.00
loop_
_atom_site_label
_atom_site_type_symbol
_atom_site_fract_x
_atom_site_fract_y
_atom_site_fract_z
_atom_site_occupancy
Rb1 Rb 0.0000 0.0000 0.0000 1
Ta1 Ta 0.0000 0.0000 0.5112 1
O1 O 0.1687 0.3375 0.3223 1
```

The 10 most intense peaks (2θ = 15–90°), by angle:
- 21.72°, intensity 23, hkl 1 0 1
- 30.91°, intensity 100, hkl 1 1 0
- 44.28°, intensity 29, hkl 2 0 2
- 49.83°, intensity 10, hkl 1 1 3
- 54.96°, intensity 30, hkl 1 2 2
- 55.02°, intensity 10, hkl 3 0 0
- 64.35°, intensity 9, hkl 0 2 4
- 64.46°, intensity 9, hkl 2 2 0
- 73.14°, intensity 18, hkl 3 1 2
- 89.70°, intensity 17, hkl 4 1 0

Computed powder X-ray diffraction pattern of Mg14ZnCu for Cu Kα X-rays, from the PBE geometry in the Materials Project.
Intensities are scaled so that the largest is 100.

Cell and atoms:
```
data_Mg14ZnCu
_space_group_name_H-M_alt 'P -6 m 2'
_space_group_IT_number 187
_space_group_name_Hall 'P -6 2'
_cell_length_a 6.2491
_cell_length_b 6.2491
_cell_length_c 9.9763
_cell_angle_alpha 90.00
_cell_angle_beta 90.00
_cell_angle_gamma 120.00
loop_
_atom_site_label
_atom_site_type_symbol
_atom_site_fract_x
_atom_site_fract_y
_atom_site_fract_z
_atom_site_occupancy
Mg1 Mg 0.0000 0.0000 0.2502 1
Mg2 Mg 0.0094 0.5047 0.2472 1
Mg3 Mg 0.3309 0.1654 0.0000 1
Mg4 Mg 0.3325 0.1662 0.5000 1
Zn1 Zn 0.3333 0.6667 0.5000 1
Cu1 Cu 0.3333 0.6667 0.0000 1
```

The 10 most intense peaks (2θ = 15–90°), by angle:
- 16.38°, intensity 18, hkl 1 0 0
- 24.27°, intensity 12, hkl 1 0 2
- 33.11°, intensity 26, hkl 2 0 0
- 36.01°, intensity 25, hkl 0 0 4
- 37.82°, intensity 100, hkl 2 0 2
- 49.72°, intensity 16, hkl 2 0 4
- 59.14°, intensity 17, hkl 2 2 0
- 65.94°, intensity 18, hkl 2 0 6
- 71.22°, intensity 18, hkl 2 2 4
- 72.37°, intensity 13, hkl 4 0 2

Computed powder X-ray diffraction pattern of Tm2CdS4 for Cu Kα X-rays, from the PBE geometry in the Materials Project.
Intensities are scaled so that the largest is 100.

Cell and atoms:
Cell: 11.1857 11.1857 11.1857 Å, 90.00 90.00 90.00°
Space group Fd-3m (No. 227, origin choice 2)
Asymmetric unit:
Tm  0.0000  0.0000  0.0000 [16 per cell]
Cd  0.1250  0.1250  0.6250 [8 per cell]
S  0.0083  0.0083  0.2417 [32 per cell]

The 10 most intense peaks (2θ = 15–90°), by angle:
- 22.48°, intensity 17, hkl 2 2 0
- 26.43°, intensity 100, hkl 3 1 1
- 27.63°, intensity 20, hkl 2 2 2
- 32.01°, intensity 31, hkl 4 0 0
- 41.97°, intensity 43, hkl 5 1 1
- 45.89°, intensity 61, hkl 4 4 0
- 53.74°, intensity 14, hkl 5 3 3
- 63.93°, intensity 23, hkl 5 5 3
- 73.29°, intensity 14, hkl 5 5 5
- 84.95°, intensity 20, hkl 8 4 4

Computed powder X-ray diffraction pattern of ErAl2Si2 for Cu Kα X-rays, from the PBE geometry in the Materials Project.
Intensities are scaled so that the largest is 100.

Cell and atoms:
```
data_ErAl2Si2
_space_group_name_H-M_alt 'P -3 m 1'
_space_group_IT_number 164
_space_group_name_Hall '-P 3 2"'
_cell_length_a 4.2119
_cell_length_b 4.2119
_cell_length_c 6.4628
_cell_angle_alpha 90.00
_cell_angle_beta 90.00
_cell_angle_gamma 120.00
loop_
_atom_site_label
_atom_site_type_symbol
_atom_site_fract_x
_atom_site_fract_y
_atom_site_fract_z
_atom_site_occupancy
Er1 Er 0.0000 0.0000 0.0000 1
Al1 Al 0.3333 0.6667 0.6465 1
Si1 Si 0.3333 0.6667 0.2570 1
```

The 10 most intense peaks (2θ = 15–90°), by angle:
- 24.40°, intensity 24, hkl 1 0 0
- 28.09°, intensity 100, hkl 0 1 1
- 37.17°, intensity 59, hkl 0 1 2
- 42.95°, intensity 36, hkl 1 1 0
- 49.12°, intensity 15, hkl 1 0 3
- 52.11°, intensity 18, hkl 2 0 1
- 58.07°, intensity 16, hkl 2 0 2
- 61.58°, intensity 16, hkl 1 1 3
- 69.75°, intensity 15, hkl 1 2 1
- 74.88°, intensity 15, hkl 1 2 2

Computed powder X-ray diffraction pattern of GdZn for Cu Kα X-rays, from the PBE geometry in the Materials Project.
Intensities are scaled so that the largest is 100.

Cell and atoms:
```
data_GdZn
_space_group_name_H-M_alt 'P m -3 m'
_space_group_IT_number 221
_space_group_name_Hall '-P 4 2 3'
_cell_length_a 3.6058
_cell_length_b 3.6058
_cell_length_c 3.6058
_cell_angle_alpha 90.00
_cell_angle_beta 90.00
_cell_angle_gamma 90.00
loop_
_atom_site_label
_atom_site_type_symbol
_atom_site_fract_x
_atom_site_fract_y
_atom_site_fract_z
_atom_site_occupancy
Gd1 Gd 0.0000 0.0000 0.0000 1
Zn1 Zn 0.5000 0.5000 0.5000 1
```

The 9 most intense peaks (2θ = 15–90°), by angle:
- 24.69°, intensity 17, hkl 1 0 0
- 35.20°, intensity 100, hkl 1 1 0
- 43.47°, intensity 5, hkl 1 1 1
- 50.63°, intensity 18, hkl 2 0 0
- 57.12°, intensity 7, hkl 2 1 0
- 63.16°, intensity 36, hkl 2 1 1
- 74.42°, intensity 11, hkl 2 2 0
- 79.79°, intensity 4, hkl 3 0 0
- 85.08°, intensity 16, hkl 3 1 0